Starting from a cell relaxed with GGA-PBE, the powder diffractogram of PrZr2Al6 was simulated for λ = 1.5418 Å (Cu Kα).
Kinematic intensities with the Lorentz-polarization factor, no thermal factor.

```
data_PrZr2Al6
_chemical_formula_sum 'Pr1 Zr2 Al6'
_space_group_name_H-M_alt 'P 1'
_space_group_IT_number 1
_cell_length_a 7.707
_cell_length_b 7.707
_cell_length_c 7.707
_cell_angle_alpha 147.74
_cell_angle_beta 125.87
_cell_angle_gamma 64.44
loop_
_space_group_symop_operation_xyz
'x,y,z'
loop_
_atom_site_label
_atom_site_type_symbol
_atom_site_fract_x
_atom_site_fract_y
_atom_site_fract_z
_atom_site_occupancy
Pr1 Pr 0.000 0.000 0.000 1
Zr1 Zr 0.381 0.881 0.500 1
Zr2 Zr 0.619 0.119 0.500 1
Al1 Al 0.017 0.309 0.708 1
Al2 Al 0.321 0.500 0.821 1
Al3 Al 0.399 0.691 0.708 1
Al4 Al 0.601 0.309 0.292 1
Al5 Al 0.679 0.500 0.179 1
Al6 Al 0.983 0.691 0.292 1
```

The 10 most intense peaks (5 to 70 degrees two-theta), by angle:
2θ (°)  I/Imax
13.58  31.0
21.84  42.1
24.09  42.7
27.98  39.8
33.74  100.0
36.76  29.7
36.94  77.7
42.20  26.5
43.97  28.0
57.19  29.3

Starting from a cell relaxed with GGA-PBE, the powder diffractogram of Pr8Y4Ho was simulated for λ = 1.5418 Å (Cu Kα).
Kinematic intensities with the Lorentz-polarization factor, no thermal factor.

```
data_Pr8Y4Ho
_chemical_formula_sum 'Pr8 Y4 Ho1'
_space_group_name_H-M_alt 'P 1'
_space_group_IT_number 1
_cell_length_a 6.921
_cell_length_b 6.921
_cell_length_c 10.647
_cell_angle_alpha 90.00
_cell_angle_beta 90.00
_cell_angle_gamma 113.70
loop_
_space_group_symop_operation_xyz
'x,y,z'
loop_
_atom_site_label
_atom_site_type_symbol
_atom_site_fract_x
_atom_site_fract_y
_atom_site_fract_z
_atom_site_occupancy
Pr1 Pr 0.237 0.763 0.194 1
Pr2 Pr 0.237 0.763 0.806 1
Pr3 Pr 0.285 0.285 0.292 1
Pr4 Pr 0.285 0.285 0.708 1
Pr5 Pr 0.715 0.715 0.292 1
Pr6 Pr 0.715 0.715 0.708 1
Pr7 Pr 0.763 0.237 0.194 1
Pr8 Pr 0.763 0.237 0.806 1
Y1 Y 0.000 0.000 0.000 1
Y2 Y 0.000 0.500 0.500 1
Y3 Y 0.500 0.000 0.500 1
Y4 Y 0.500 0.500 0.000 1
Ho1 Ho 0.000 0.000 0.500 1
```

The 10 most intense peaks (5 to 70 degrees two-theta), by angle:
2θ (°)  I/Imax
16.65  10.4
24.97  14.9
28.16  11.4
29.52  40.6
30.88  49.0
32.90  100.0
49.09  12.9
56.19  20.0
57.43  10.2
59.12  14.6